[1]
SmHoNi2I2: theoretical powder diffractogram (Cu Ka), based on a DFT-relaxed cell (PBE, OQMD).
Peak positions follow from Bragg's law for the DFT cell and can differ from measured ones.

Peak list (10 most intense, 5° ≤ 2θ ≤ 70°, in order of falling intensity)
Position (°2θ)	I (rel.)
33.70	100
7.32	84
26.21	53
44.27	47
29.22	29
39.20	27
65.00	24
56.77	22
45.05	12
59.61	9

Crystal structure
Unit cell a=4.0920 b=4.0920 c=12.0746 alpha=90.00 beta=90.00 gamma=120.00
Fractional coordinates of all 6 atoms:
Sm: 0.0000 0.0000 0.0000
Ho: 0.0000 0.0000 0.6981
Ni: 0.3333 0.6667 0.8533
Ni: 0.6667 0.3333 0.8418
I: 0.3333 0.6667 0.5191
I: 0.6667 0.3333 0.1803

***

[2]
GdTmP2C4: theoretical powder diffractogram (Cu Ka), based on a DFT-relaxed cell (PBE, OQMD).
Peak positions follow from Bragg's law for the DFT cell and can differ from measured ones.

Peak list (10 most intense, 5° ≤ 2θ ≤ 70°, in order of falling intensity)
Position (°2θ)	I (rel.)
34.67	100
27.36	50
48.36	26
20.90	24
51.31	23
60.86	19
66.33	15
53.22	14
42.53	9
56.45	7

Crystal structure
Unit cell a=3.7645 b=3.7645 c=8.5023 alpha=90.00 beta=90.00 gamma=120.00
Fractional coordinates of all 8 atoms:
Gd: 0.0000 0.0000 0.0000
Tm: 0.0000 0.0000 0.5000
P: 0.3333 0.6667 0.7486
P: 0.6667 0.3333 0.2514
C: 0.3333 0.6667 0.1695
C: 0.3333 0.6667 0.3416
C: 0.6667 0.3333 0.6584
C: 0.6667 0.3333 0.8305

***

[3]
HoErGa2Cu2: theoretical powder diffractogram (Cu Ka), based on a DFT-relaxed cell (PBE, OQMD).
Peak positions follow from Bragg's law for the DFT cell and can differ from measured ones.

Peak list (10 most intense, 5° ≤ 2θ ≤ 70°, in order of falling intensity)
Position (°2θ)	I (rel.)
35.18	100
41.60	54
55.59	27
69.30	22
23.66	21
52.73	8
58.56	4
48.41	3
65.70	3
46.05	1

Crystal structure
Unit cell a=4.3419 b=4.3419 c=6.9441 alpha=90.00 beta=90.00 gamma=120.00
Fractional coordinates of all 6 atoms:
Ho: 0.0000 0.0000 0.0000
Er: 0.0000 0.0000 0.5000
Ga: 0.3333 0.6667 0.2658
Ga: 0.3333 0.6667 0.7342
Cu: 0.6667 0.3333 0.2430
Cu: 0.6667 0.3333 0.7570

***

[4]
TlAgSnTe3: theoretical powder diffractogram (Cu Ka), based on a DFT-relaxed cell (PBE, OQMD).
Peak positions follow from Bragg's law for the DFT cell and can differ from measured ones.

Peak list (10 most intense, 5° ≤ 2θ ≤ 70°, in order of falling intensity)
Position (°2θ)	I (rel.)
28.54	100
31.40	39
28.34	35
31.50	34
41.67	33
32.87	33
43.85	28
40.15	20
33.17	16
45.66	15

Crystal structure
Unit cell a=14.6845 b=4.3346 c=11.7357 alpha=90.00 beta=90.00 gamma=90.00
Fractional coordinates of all 24 atoms:
Tl: 0.2216 0.2500 0.0200
Tl: 0.2784 0.7500 0.5200
Tl: 0.7216 0.2500 0.4800
Tl: 0.7784 0.7500 0.9800
Ag: 0.0219 0.7500 0.0766
Ag: 0.4781 0.2500 0.5766
Ag: 0.5219 0.7500 0.4234
Ag: 0.9781 0.2500 0.9234
Sn: 0.0349 0.2500 0.3472
Sn: 0.4651 0.7500 0.8472
Sn: 0.5349 0.2500 0.1528
Sn: 0.9651 0.7500 0.6528
Te: 0.0940 0.7500 0.8499
Te: 0.1065 0.2500 0.5788
Te: 0.1553 0.7500 0.2576
Te: 0.3447 0.2500 0.7576
Te: 0.3935 0.7500 0.0788
Te: 0.4060 0.2500 0.3499
Te: 0.5940 0.7500 0.6501
Te: 0.6065 0.2500 0.9212
Te: 0.6553 0.7500 0.2424
Te: 0.8447 0.2500 0.7424
Te: 0.8935 0.7500 0.4212
Te: 0.9060 0.2500 0.1501

***

[5]
Tl2Ag7: theoretical powder diffractogram (Cu Ka), based on a DFT-relaxed cell (PBE, OQMD).
Peak positions follow from Bragg's law for the DFT cell and can differ from measured ones.

Peak list (10 most intense, 5° ≤ 2θ ≤ 70°, in order of falling intensity)
Position (°2θ)	I (rel.)
5.87	100
36.26	73
41.97	37
8.81	26
37.39	21
43.85	19
61.21	18
35.77	12
38.86	12
63.33	11

Crystal structure
Unit cell a=3.0290 b=3.0290 c=30.1270 alpha=90.00 beta=90.00 gamma=120.00
Fractional coordinates of all 9 atoms:
Tl: 0.0000 0.0000 0.0000
Tl: 0.3333 0.6667 0.3520
Ag: 0.0000 0.0000 0.5218
Ag: 0.0000 0.0000 0.7533
Ag: 0.3333 0.6667 0.5991
Ag: 0.3333 0.6667 0.8307
Ag: 0.6667 0.3333 0.4442
Ag: 0.6667 0.3333 0.6763
Ag: 0.6667 0.3333 0.9082

***

[6]
Rb2Ag3Sb3S7: theoretical powder diffractogram (Cu Ka), based on a DFT-relaxed cell (PBE, OQMD).
Peak positions follow from Bragg's law for the DFT cell and can differ from measured ones.

Peak list (10 most intense, 5° ≤ 2θ ≤ 70°, in order of falling intensity)
Position (°2θ)	I (rel.)
6.86	100
23.57	91
29.07	59
29.19	58
26.92	53
24.06	51
33.77	51
25.63	49
48.49	41
33.15	38

Crystal structure
Unit cell a=13.7020 b=13.7020 c=6.9512 alpha=90.00 beta=90.00 gamma=39.62
Fractional coordinates of all 30 atoms:
Rb: 0.0186 0.3932 0.0000
Rb: 0.3932 0.0186 0.5000
Rb: 0.6068 0.9814 0.0000
Rb: 0.9814 0.6068 0.5000
Ag: 0.0777 0.0995 0.4421
Ag: 0.0995 0.0777 0.9421
Ag: 0.1778 0.8222 0.1744
Ag: 0.8222 0.1778 0.6744
Ag: 0.9005 0.9223 0.4421
Ag: 0.9223 0.9005 0.9421
Sb: 0.2669 0.4815 0.0047
Sb: 0.3347 0.6653 0.6306
Sb: 0.4815 0.2669 0.5047
Sb: 0.5185 0.7331 0.0047
Sb: 0.6653 0.3347 0.1306
Sb: 0.7331 0.5185 0.5047
S: 0.0096 0.3246 0.5029
S: 0.1155 0.8845 0.8311
S: 0.1877 0.6673 0.4212
S: 0.3101 0.3199 0.7464
S: 0.3199 0.3101 0.2464
S: 0.3246 0.0096 0.0029
S: 0.3327 0.8123 0.4212
S: 0.6673 0.1877 0.9212
S: 0.6754 0.9904 0.5029
S: 0.6801 0.6899 0.7464
S: 0.6899 0.6801 0.2464
S: 0.8123 0.3327 0.9212
S: 0.8845 0.1155 0.3311
S: 0.9904 0.6754 0.0029